# UGe2
Computed PXRD pattern, a wavelength of 1.5418 Å. Input: DFT lattice parameters and positions (PBE).
Neutral-atom scattering factors, no anomalous dispersion.

Structural model:
```
12
Lattice="4.0666 0.0000 0.0000 0.0000 14.2415 0.0000 0.0000 0.0000 4.2124" Properties=species:S:1:pos:R:3 pbc="T T T"
U 0.0000 2.0931 0.0000
U 0.0000 12.1484 0.0000
U 2.0333 5.0277 0.0000
U 2.0333 9.2139 0.0000
Ge 0.0000 0.0000 2.1062
Ge 0.0000 4.5013 2.1062
Ge 0.0000 7.1208 0.0000
Ge 0.0000 9.7402 2.1062
Ge 2.0333 0.0000 0.0000
Ge 2.0333 2.6194 2.1062
Ge 2.0333 7.1208 2.1062
Ge 2.0333 11.6221 2.1062
```

Most intense lines, 10° ≤ 2θ ≤ 80°, sorted by position:
| index | 2θ/deg | intensity |
| --- | --- | --- |
| 0 0 1 | 21.09 | 16 |
| 1 1 0 | 22.74 | 14 |
| 1 3 0 | 28.91 | 13 |
| 1 1 1 | 31.21 | 10 |
| 0 4 1 | 32.94 | 17 |
| 1 3 1 | 36.06 | 100 |
| 0 6 0 | 37.91 | 16 |
| 0 0 2 | 42.94 | 17 |
| 2 0 0 | 44.56 | 15 |
| 2 0 2 | 63.61 | 11 |
| 1 3 3 | 74.19 | 13 |
| 3 3 1 | 76.50 | 20 |